No. 1
Starting from a crystal structure in Alexandria, relaxed with GGA-PBE, the powder X-ray diffraction pattern of CaNd5Ho2 was calculated for Cu Kα, 1.54184 Å.
Kinematic intensities with the Lorentz-polarization factor, no thermal factor.

Cell and atoms:
```
data_CaNd5Ho2
_chemical_formula_sum 'Ca4 Nd20 Ho8'
_space_group_name_H-M_alt 'I m m a'
_space_group_IT_number 74
_space_group_name_Hall '-I 2b 2'
_cell_length_a 6.046
_cell_length_b 11.689
_cell_length_c 16.270
_cell_angle_alpha 90.00
_cell_angle_beta 90.00
_cell_angle_gamma 90.00
loop_
_atom_site_label
_atom_site_type_symbol
_atom_site_fract_x
_atom_site_fract_y
_atom_site_fract_z
Ca1 Ca 0.000 0.250 0.095
Nd1 Nd 0.000 0.064 0.894
Nd2 Nd 0.000 0.080 0.305
Nd3 Nd 0.000 0.250 0.552
Ho1 Ho 0.000 0.000 0.500
Ho2 Ho 0.250 0.250 0.750
```

Most intense lines, 2θ from 15° to 90°, low angle first:
2theta, I (rel.)
28.20, 39
29.40, 100
29.55, 44
31.21, 77
34.85, 78
44.54, 32
52.30, 40
55.14, 33

***

No. 2
Starting from a crystal structure in Alexandria, relaxed with GGA-PBE, the powder X-ray diffraction pattern of CoNi2Rh6 was calculated for Cu Kα, 1.54184 Å.
Kinematic intensities with the Lorentz-polarization factor, no thermal factor.

Cell and atoms:
```
data_CoNi2Rh6
_chemical_formula_sum 'Co1 Ni2 Rh6'
_space_group_name_H-M_alt 'P -1'
_space_group_IT_number 2
_cell_length_a 4.711
_cell_length_b 4.906
_cell_length_c 5.893
_cell_angle_alpha 72.56
_cell_angle_beta 73.55
_cell_angle_gamma 86.25
loop_
_space_group_symop_operation_xyz
'x,y,z'
'-x,-y,-z'
loop_
_atom_site_label
_atom_site_type_symbol
_atom_site_fract_x
_atom_site_fract_y
_atom_site_fract_z
Co1 Co 0.000 0.000 0.000
Ni1 Ni 0.154 0.898 0.354
Rh1 Rh 0.020 0.540 0.767
Rh2 Rh 0.403 0.266 0.470
Rh3 Rh 0.463 0.270 0.957
```

Most intense lines, 2θ from 15° to 90°, low angle first:
2theta, I (rel.)
33.07, 18
33.62, 21
39.92, 29
43.11, 67
43.51, 100
43.96, 55
44.16, 42
44.92, 47